Entry 1:
Structure and theoretical X-ray diffraction stick pattern of MoWSe4 (a cell relaxed with GGA-PBE; Cu Kα (λ = 1.5418 Å)).
No peak broadening, texture or thermal motion is included.

Crystal structure
```
data_MoWSe4
_chemical_formula_sum 'Mo2 W2 Se8'
_cell_length_a 3.3233
_cell_length_b 3.3233
_cell_length_c 37.8452
_cell_angle_alpha 90.00
_cell_angle_beta 90.00
_cell_angle_gamma 120.00
_space_group_name_H-M_alt 'P -3 m 1'
_space_group_IT_number 164
_space_group_name_Hall '-P 3 2"'
loop_
_atom_site_label
_atom_site_fract_x
_atom_site_fract_y
_atom_site_fract_z
Mo1 0.3333 0.6667 0.0939
W1 0.3333 0.6667 0.7182
Se1 0.3333 0.6667 0.2373
Se2 0.3333 0.6667 0.3263
Se3 0.3333 0.6667 0.8618
Se4 0.3333 0.6667 0.9504
```

Main lines, sorted by position (2θ = 10–90°):
(0 0 5), 11.69°, d = 7.569 Å, rel. 100
(0 0 6), 14.04°, d = 6.308 Å, rel. 14
(1 0 0), 31.09°, d = 2.877 Å, rel. 35
(1 0 5), 33.31°, d = 2.690 Å, rel. 14
(1 0 8), 36.55°, d = 2.459 Å, rel. 73
(0 1 13), 44.25°, d = 2.047 Å, rel. 49
(1 0 14), 46.07°, d = 1.970 Å, rel. 15
(1 1 0), 55.29°, d = 1.661 Å, rel. 26



Entry 2:
Structure and theoretical X-ray diffraction stick pattern of FeNi3 (a cell relaxed with GGA-PBE; Cu Kα (λ = 1.5418 Å)).
No peak broadening, texture or thermal motion is included.

Crystal structure
```
data_FeNi3
_chemical_formula_sum 'Fe4 Ni12'
_cell_length_a 5.630
_cell_length_b 5.630
_cell_length_c 5.630
_cell_angle_alpha 90.00
_cell_angle_beta 90.00
_cell_angle_gamma 90.00
_space_group_name_H-M_alt 'F m -3 m'
_space_group_IT_number 225
_space_group_name_Hall '-F 4 2 3'
loop_
_atom_site_label
_atom_site_fract_x
_atom_site_fract_y
_atom_site_fract_z
Fe1 0.000 0.000 0.000
Ni1 0.000 0.000 0.500
Ni2 0.250 0.250 0.250
```

Main lines, sorted by position (2θ = 10–90°):
(2 2 0), 45.57°, d = 1.991 Å, rel. 100
(4 0 0), 66.42°, d = 1.408 Å, rel. 15
(4 2 2), 84.25°, d = 1.149 Å, rel. 29



Entry 3:
Structure and theoretical X-ray diffraction stick pattern of Na2CdH4S2O10 (a cell relaxed with GGA-PBE; Cu Kα (λ = 1.5418 Å)).
No peak broadening, texture or thermal motion is included.

Crystal structure
```
data_Na2CdH4S2O10
_chemical_formula_sum 'Na4 Cd2 H8 S4 O20'
_cell_length_a 5.972
_cell_length_b 13.207
_cell_length_c 5.649
_cell_angle_alpha 90.00
_cell_angle_beta 106.00
_cell_angle_gamma 90.00
_space_group_name_H-M_alt 'P 1 21/c 1'
_space_group_IT_number 14
loop_
_space_group_symop_operation_xyz
'x,y,z'
'-x,-y,-z'
'-x,y+1/2,-z+1/2'
'x,-y+1/2,z+1/2'
loop_
_atom_site_label
_atom_site_fract_x
_atom_site_fract_y
_atom_site_fract_z
Na1 0.079 0.117 0.264
Cd1 0.500 0.000 0.000
H1 0.186 0.160 0.825
H2 0.405 0.210 0.018
S1 0.262 0.618 0.919
O1 0.071 0.693 0.904
O2 0.213 0.561 0.678
O3 0.254 0.543 0.117
O4 0.303 0.149 0.986
O5 0.494 0.667 0.975
```

Main lines, sorted by position (2θ = 10–90°):
(0 2 0), 13.41°, d = 6.603 Å, rel. 100
(1 2 0), 20.50°, d = 4.332 Å, rel. 59
(0 3 1), 26.06°, d = 3.420 Å, rel. 80
(1 1 1), 26.39°, d = 3.377 Å, rel. 70
(1 3 -1), 27.96°, d = 3.191 Å, rel. 58
(1 2 1), 28.92°, d = 3.088 Å, rel. 41
(2 1 -1), 31.72°, d = 2.821 Å, rel. 54
(1 0 -2), 32.36°, d = 2.767 Å, rel. 41



Entry 4:
Structure and theoretical X-ray diffraction stick pattern of TbTlPd (a cell relaxed with GGA-PBE; Cu Kα (λ = 1.5418 Å)).
No peak broadening, texture or thermal motion is included.

Crystal structure
```
data_TbTlPd
_chemical_formula_sum 'Tb3 Tl3 Pd3'
_cell_length_a 7.8932
_cell_length_b 7.8932
_cell_length_c 3.8036
_cell_angle_alpha 90.00
_cell_angle_beta 90.00
_cell_angle_gamma 120.00
_space_group_name_H-M_alt 'P -6 2 m'
_space_group_IT_number 189
_space_group_name_Hall 'P -6 -2'
loop_
_atom_site_label
_atom_site_fract_x
_atom_site_fract_y
_atom_site_fract_z
Tb1 0.0000 0.4021 0.0000
Tl1 0.0000 0.7329 0.5000
Pd1 0.0000 0.0000 0.0000
Pd2 0.3333 0.6667 0.5000
```

Main lines, sorted by position (2θ = 10–90°):
(1 1 1), 32.70°, d = 2.739 Å, rel. 100
(2 1 0), 34.72°, d = 2.584 Å, rel. 49
(2 0 1), 35.30°, d = 2.542 Å, rel. 61
(3 0 0), 39.55°, d = 2.279 Å, rel. 40
(2 1 1), 42.29°, d = 2.137 Å, rel. 22
(2 1 2), 60.44°, d = 1.532 Å, rel. 20
(3 0 2), 63.74°, d = 1.460 Å, rel. 20
(3 2 1), 64.25°, d = 1.450 Å, rel. 32



Entry 5:
Structure and theoretical X-ray diffraction stick pattern of CrFe2As6 (a cell relaxed with GGA-PBE; Cu Kα (λ = 1.5418 Å)).
No peak broadening, texture or thermal motion is included.

Crystal structure
```
data_CrFe2As6
_chemical_formula_sum 'Cr2 Fe4 As12'
_cell_length_a 5.394
_cell_length_b 2.900
_cell_length_c 18.309
_cell_angle_alpha 90.00
_cell_angle_beta 90.05
_cell_angle_gamma 90.00
_space_group_name_H-M_alt 'P 1 2/m 1'
_space_group_IT_number 10
loop_
_space_group_symop_operation_xyz
'x,y,z'
'-x,-y,-z'
'-x,y,-z'
'x,-y,z'
loop_
_atom_site_label
_atom_site_fract_x
_atom_site_fract_y
_atom_site_fract_z
Cr1 0.000 0.000 0.167
Fe1 0.000 0.000 0.500
Fe2 0.498 0.500 0.336
Fe3 0.500 0.500 0.000
As1 0.179 0.000 0.619
As2 0.183 0.000 0.957
As3 0.184 0.000 0.292
As4 0.320 0.500 0.455
As5 0.332 0.500 0.784
As6 0.333 0.500 0.119
```

Main lines, sorted by position (2θ = 10–90°):
(1 0 6), 33.75°, d = 2.656 Å, rel. 100
(1 1 0), 35.13°, d = 2.554 Å, rel. 76
(2 0 -3), 36.42°, d = 2.467 Å, rel. 38
(1 1 3), 38.20°, d = 2.356 Å, rel. 85
(2 1 3), 48.45°, d = 1.879 Å, rel. 53
(3 0 3), 53.10°, d = 1.725 Å, rel. 34
(0 1 9), 55.15°, d = 1.665 Å, rel. 44
(2 1 -6), 55.42°, d = 1.658 Å, rel. 37



Entry 6:
Structure and theoretical X-ray diffraction stick pattern of BaCuO2 (a cell relaxed with GGA-PBE; Cu Kα (λ = 1.5418 Å)).
No peak broadening, texture or thermal motion is included.

Crystal structure
```
data_BaCuO2
_chemical_formula_sum 'Ba4 Cu4 O8'
_cell_length_a 5.745
_cell_length_b 11.731
_cell_length_c 3.768
_cell_angle_alpha 90.00
_cell_angle_beta 90.00
_cell_angle_gamma 90.00
_space_group_name_H-M_alt 'P 21 21 2'
_space_group_IT_number 18
loop_
_space_group_symop_operation_xyz
'x,y,z'
'-x,-y,z'
'x+1/2,-y+1/2,-z'
'-x+1/2,y+1/2,-z'
loop_
_atom_site_label
_atom_site_fract_x
_atom_site_fract_y
_atom_site_fract_z
Ba1 0.013 0.137 0.499
Cu1 0.007 0.376 0.000
O1 0.229 0.502 0.000
O2 0.241 0.752 0.000
```

Main lines, sorted by position (2θ = 10–90°):
(1 1 1), 29.35°, d = 3.043 Å, rel. 100
(0 4 0), 30.48°, d = 2.933 Å, rel. 31
(2 0 0), 31.14°, d = 2.873 Å, rel. 31
(1 3 1), 36.63°, d = 2.453 Å, rel. 73
(2 4 0), 44.13°, d = 2.052 Å, rel. 43
(0 0 2), 48.34°, d = 1.883 Å, rel. 30
(3 3 1), 59.04°, d = 1.565 Å, rel. 18
(2 4 2), 67.49°, d = 1.388 Å, rel. 22